Starting from a structure optimized by DFT (PBE), the powder X-ray diffraction pattern of SnH4C2NO4F was calculated for Cu Kα (weighted mean of Kα1 and Kα2).
Kinematic intensities with the Lorentz-polarization factor, no thermal factor.

Crystal structure
a = 8.6501 Å, b = 9.8412 Å, c = 7.8046 Å
α = 90.00°, β = 110.03°, γ = 90.00°
Space group P2_1/c (No. 14)
Unique sites:
Sn: 0.1231 0.1868 0.4944 (multiplicity 4)
H: 0.3374 0.7370 0.5283 (multiplicity 4)
H: 0.3603 0.6259 0.1683 (multiplicity 4)
H: 0.4879 0.6498 0.0421 (multiplicity 4)
H: 0.4998 0.2482 0.7788 (multiplicity 4)
C: 0.2005 0.0104 0.1221 (multiplicity 4)
C: 0.2211 0.0160 0.9305 (multiplicity 4)
N: 0.4210 0.6951 0.1143 (multiplicity 4)
O: 0.1718 0.1279 0.1824 (multiplicity 4)
O: 0.1868 0.1315 0.8471 (multiplicity 4)
O: 0.2117 0.5994 0.7023 (multiplicity 4)
O: 0.2675 0.5875 0.3698 (multiplicity 4)
F: 0.3780 0.1480 0.5926 (multiplicity 4)

Most intense lines, 2θ from 5° to 70°, in order of rising 2θ:
2θ 10.89, d 8.127, I 66.6; 2θ 14.13, d 6.266, I 100.0; 2θ 18.03, d 4.921, I 19.1; 2θ 22.41, d 3.967, I 19.5; 2θ 23.69, d 3.756, I 68.1; 2θ 24.28, d 3.666, I 21.7; 2θ 24.68, d 3.607, I 25.7; 2θ 28.12, d 3.173, I 32.5; 2θ 29.84, d 2.994, I 46.7; 2θ 30.38, d 2.942, I 25.8; 2θ 42.54, d 2.125, I 15.5; 2θ 47.85, d 1.901, I 22.8